No. 1
Starting from a cell relaxed with PBE+U, the X-ray diffraction stick pattern of MnSeO3 was computed for Cu Kα, 1.54184 Å.
Lines closer than 0.1° are merged.

Structure:
Lattice parameters (Å, degrees): 5.361 8.435 14.021 90.00 99.01 90.00
Space group P2_1/c (No. 14)
Symmetry-distinct sites (fractional):
Mn1 0.028 0.227 0.251 (multiplicity 4)
Mn2 0.416 0.080 0.601 (multiplicity 4)
Se1 0.135 0.717 0.505 (multiplicity 4)
Se2 0.484 0.533 0.314 (multiplicity 4)
O1 0.012 0.241 0.898 (multiplicity 4)
O2 0.113 0.244 0.090 (multiplicity 4)
O3 0.225 0.048 0.740 (multiplicity 4)
O4 0.314 0.610 0.003 (multiplicity 4)
O5 0.333 0.059 0.276 (multiplicity 4)
O6 0.358 0.720 0.323 (multiplicity 4)

Top 10 peaks for 15° ≤ 2θ ≤ 90°, in order of rising 2θ:
two_theta	I/Imax	hkl
16.56	12.7	0 1 2
19.44	12.2	1 0 -2
24.72	18.3	0 2 2
25.05	34.4	1 1 2
25.76	19.0	0 0 4
27.03	100.0	1 2 0
28.50	28.9	1 0 -4
29.56	12.4	1 1 3
34.07	12.2	0 1 5
35.75	12.4	1 1 -5

***

No. 2
Starting from a cell relaxed with PBE+U, the X-ray diffraction stick pattern of Li2V3CrO8 was computed for Cu Kα, 1.54184 Å.
Lines closer than 0.1° are merged.

Structure:
Lattice parameters (Å, degrees): 5.959 5.960 10.133 74.82 74.83 61.16
Space group P-1 (No. 2)
Symmetry-distinct sites (fractional):
Li1 0.062 0.067 0.310 (multiplicity 2)
Li2 0.431 0.438 0.190 (multiplicity 2)
V1 0.000 0.500 0.000 (multiplicity 1)
V2 0.000 0.500 0.500 (multiplicity 1)
V3 0.246 0.257 0.750 (multiplicity 2)
V4 0.500 0.000 0.000 (multiplicity 1)
V5 0.500 0.000 0.500 (multiplicity 1)
Cr1 0.000 0.000 0.000 (multiplicity 1)
Cr2 0.500 0.500 0.500 (multiplicity 1)
O1 0.087 0.652 0.125 (multiplicity 2)
O2 0.141 0.136 0.106 (multiplicity 2)
O3 0.150 0.590 0.624 (multiplicity 2)
O4 0.155 0.133 0.625 (multiplicity 2)
O5 0.361 0.906 0.885 (multiplicity 2)
O6 0.365 0.358 0.395 (multiplicity 2)
O7 0.369 0.346 0.875 (multiplicity 2)
O8 0.404 0.860 0.385 (multiplicity 2)

Top 10 peaks for 15° ≤ 2θ ≤ 90°, in order of rising 2θ:
two_theta	I/Imax	hkl
18.16	100.0	0 1 1
18.38	30.7	0 0 2
34.85	14.9	2 0 0
34.94	14.2	1 -1 2
35.17	11.3	0 1 -3
35.92	10.1	1 2 3
42.33	52.5	2 0 -2
43.99	23.2	2 2 4
62.37	14.7	4 2 2
63.02	14.4	2 0 6

***

No. 3
Starting from a cell relaxed with PBE+U, the X-ray diffraction stick pattern of Na2FeBPO7 was computed for Cu Kα, 1.54184 Å.
Lines closer than 0.1° are merged.

Structure:
Lattice parameters (Å, degrees): 5.287 6.644 9.080 90.00 91.34 90.00
Space group P2_1/m (No. 11)
Symmetry-distinct sites (fractional):
Na1 0.238 0.003 0.266 (multiplicity 4)
Fe1 0.221 0.250 0.850 (multiplicity 2)
B1 0.273 0.250 0.581 (multiplicity 2)
P1 0.277 0.750 0.928 (multiplicity 2)
O1 0.041 0.250 0.647 (multiplicity 2)
O2 0.132 0.750 0.075 (multiplicity 2)
O3 0.210 0.560 0.837 (multiplicity 4)
O4 0.300 0.250 0.435 (multiplicity 2)
O5 0.431 0.250 0.034 (multiplicity 2)
O6 0.468 0.250 0.686 (multiplicity 2)

Top 10 peaks for 15° ≤ 2θ ≤ 90°, in order of rising 2θ:
two_theta	I/Imax	hkl
16.53	100.0	0 1 1
19.60	35.6	1 0 1
21.48	34.7	1 1 0
23.80	34.1	1 1 1
25.57	88.7	1 0 -2
26.18	40.1	1 0 2
26.84	65.9	0 2 0
33.23	46.3	1 2 -1
33.45	79.6	0 2 2
33.92	57.0	2 0 0

***

No. 4
Starting from a cell relaxed with PBE+U, the X-ray diffraction stick pattern of Sr4MgMn2S2O6 was computed for Cu Kα, 1.54184 Å.
Lines closer than 0.1° are merged.

Structure:
Lattice parameters (Å, degrees): 3.920 3.922 16.156 90.00 90.00 90.00
Space group Pmm2 (No. 25)
Symmetry-distinct sites (fractional):
Sr1 0.000 0.000 0.000 (multiplicity 1)
Sr2 0.000 0.000 0.227 (multiplicity 1)
Sr3 0.500 0.500 0.395 (multiplicity 1)
Sr4 0.500 0.500 0.622 (multiplicity 1)
Mg1 0.000 0.500 0.811 (multiplicity 1)
Mn1 0.000 0.000 0.504 (multiplicity 1)
Mn2 0.500 0.500 0.117 (multiplicity 1)
S1 0.000 0.000 0.716 (multiplicity 1)
S2 0.500 0.500 0.906 (multiplicity 1)
O1 0.000 0.000 0.379 (multiplicity 1)
O2 0.000 0.500 0.100 (multiplicity 1)
O3 0.000 0.500 0.521 (multiplicity 1)
O4 0.500 0.000 0.102 (multiplicity 1)
O5 0.500 0.000 0.520 (multiplicity 1)
O6 0.500 0.500 0.242 (multiplicity 1)

Top 10 peaks for 15° ≤ 2θ ≤ 90°, in order of rising 2θ:
two_theta	I/Imax	hkl
23.35	9.6	1 0 1
31.81	100.0	1 0 4
32.29	52.5	1 1 0
39.42	8.7	1 1 4
40.65	18.9	1 0 6
46.31	34.9	2 0 0
56.37	16.7	1 1 8
57.28	36.0	2 1 4
63.29	9.4	1 2 6
67.58	10.4	2 2 0

***

No. 5
Starting from a cell relaxed with PBE+U, the X-ray diffraction stick pattern of MnOF was computed for Cu Kα, 1.54184 Å.
Lines closer than 0.1° are merged.

Structure:
Lattice parameters (Å, degrees): 3.837 6.257 3.187 90.00 90.00 90.00
Space group Pmn2_1 (No. 31)
Symmetry-distinct sites (fractional):
Mn1 0.000 0.151 0.000 (multiplicity 2)
O1 0.000 0.925 0.436 (multiplicity 2)
F1 0.000 0.349 0.545 (multiplicity 2)

Top 10 peaks for 15° ≤ 2θ ≤ 90°, in order of rising 2θ:
two_theta	I/Imax	hkl
27.26	100.0	1 1 0
31.50	32.9	0 1 1
39.48	24.1	1 1 1
40.40	77.1	0 2 1
47.39	27.8	2 0 0
57.87	11.6	0 0 2
58.05	46.7	1 3 1
63.99	31.7	2 2 1
65.12	14.1	1 1 2
77.94	8.4	2 0 2

***

No. 6
Starting from a cell relaxed with PBE+U, the X-ray diffraction stick pattern of CoTeO4 was computed for Cu Kα, 1.54184 Å.
Lines closer than 0.1° are merged.

Structure:
Lattice parameters (Å, degrees): 5.660 4.737 5.648 90.00 112.98 90.00
Space group Pc (No. 7)
Symmetry-distinct sites (fractional):
Co1 0.000 0.250 0.000 (multiplicity 2)
Te1 0.500 0.250 0.501 (multiplicity 2)
O1 0.173 0.071 0.362 (multiplicity 2)
O2 0.352 0.467 0.171 (multiplicity 2)
O3 0.648 0.033 0.830 (multiplicity 2)
O4 0.826 0.430 0.639 (multiplicity 2)

Top 10 peaks for 15° ≤ 2θ ≤ 90°, in order of rising 2θ:
two_theta	I/Imax	hkl
17.02	16.6	1 0 0
25.44	13.3	0 1 1
26.68	100.0	1 1 -1
34.43	70.6	1 1 1
38.18	10.1	2 0 -2
52.24	48.2	2 2 0
52.38	15.6	1 1 -3
54.96	15.7	2 2 -2
66.07	14.0	3 1 1
66.35	9.5	1 3 1

***

No. 7
Starting from a cell relaxed with PBE+U, the X-ray diffraction stick pattern of Na3MgMn2SbO6 was computed for Cu Kα, 1.54184 Å.
Lines closer than 0.1° are merged.

Structure:
Lattice parameters (Å, degrees): 6.593 10.540 5.638 90.00 96.11 90.00
Space group Cm (No. 8)
Symmetry-distinct sites (fractional):
Na1 0.000 0.000 0.000 (multiplicity 2)
Na2 0.038 0.271 0.988 (multiplicity 4)
Mg1 0.398 0.000 0.070 (multiplicity 2)
Mn1 0.230 0.158 0.520 (multiplicity 4)
Sb1 0.230 0.500 0.524 (multiplicity 2)
O1 0.202 0.500 0.169 (multiplicity 2)
O2 0.266 0.149 0.176 (multiplicity 4)
O3 0.327 0.000 0.720 (multiplicity 2)
O4 0.413 0.344 0.617 (multiplicity 4)

Top 10 peaks for 15° ≤ 2θ ≤ 90°, in order of rising 2θ:
two_theta	I/Imax	hkl
15.81	79.6	0 0 1
27.21	41.1	2 0 0
28.83	100.0	1 3 0
30.08	67.6	2 0 -1
31.93	71.1	0 0 2
32.32	52.2	1 3 -1
33.10	42.0	2 0 1
33.76	77.2	1 3 1
44.69	38.6	1 3 2
49.10	50.4	3 3 0